Starting from a DFT-relaxed cell (GGA+U, Alexandria), the powder X-ray diffraction pattern of K2BiMoO6 was simulated for Cu Kα (weighted mean of Kα1 and Kα2).

Most intense lines, 10 to 90 degrees two-theta, low angle first:
4.346 Å, 2θ 20.44, I = 32
4.171 Å, 2θ 21.30, I = 61
3.009 Å, 2θ 29.69, I = 100
2.949 Å, 2θ 30.31, I = 49
2.085 Å, 2θ 43.39, I = 32
1.714 Å, 2θ 53.46, I = 38

a b c (Å): 5.898 5.898 4.346
angles (deg): 90.00 90.00 90.00
Element x y z (fractional)
K1 0.000 0.500 0.000
K2 0.500 0.000 0.000
Bi1 0.000 0.000 0.524
Mo1 0.500 0.500 0.465
O1 0.000 0.000 0.025
O2 0.272 0.272 0.539
O3 0.272 0.728 0.539
O4 0.500 0.500 0.055
O5 0.728 0.272 0.539
O6 0.728 0.728 0.539